[1]
Nd2CdGa2Pd5: computed powder X-ray diffraction pattern (Cu Ka), based on the GGA-PBE geometry in Alexandria.
Lines closer than 0.1° are merged.

Crystal structure
Cell: 10.1428 10.1428 3.7432 Å, 90.00 90.00 90.00°
Sites, in units of the cell vectors:
Nd 0.1780 0.3220 0.0000
Nd 0.3220 0.8220 0.0000
Nd 0.6780 0.1780 0.0000
Nd 0.8220 0.6780 0.0000
Cd 0.0000 0.0000 0.0000
Cd 0.5000 0.5000 0.0000
Ga 0.1200 0.6200 0.0000
Ga 0.3800 0.1200 0.0000
Ga 0.6200 0.8800 0.0000
Ga 0.8800 0.3800 0.0000
Pd 0.0000 0.5000 0.5000
Pd 0.0632 0.7878 0.5000
Pd 0.2122 0.0632 0.5000
Pd 0.2878 0.5632 0.5000
Pd 0.4368 0.2878 0.5000
Pd 0.5000 0.0000 0.5000
Pd 0.5632 0.7122 0.5000
Pd 0.7122 0.4368 0.5000
Pd 0.7878 0.9368 0.5000
Pd 0.9368 0.2122 0.5000

Main lines, by angle (10° ≤ 2θ ≤ 90°):
2θ = 30.97°, I 27; 2θ = 34.64°, I 32; 2θ = 36.53°, I 55; 2θ = 36.91°, I 100; 2θ = 37.62°, I 16; 2θ = 39.74°, I 18; 2θ = 40.10°, I 39; 2θ = 48.65°, I 24; 2θ = 62.34°, I 23; 2θ = 63.80°, I 13


[2]
CdGa2Ni3: computed powder X-ray diffraction pattern (Cu Ka), based on the GGA-PBE geometry in Alexandria.
Lines closer than 0.1° are merged.

Crystal structure
Cell: 2.9499 2.9499 9.2616 Å, 90.00 90.00 90.00°
Sites, in units of the cell vectors:
Cd 0.0000 0.0000 0.0000
Ga 0.0000 0.0000 0.3432
Ga 0.0000 0.0000 0.6568
Ni 0.5000 0.5000 0.2031
Ni 0.5000 0.5000 0.5000
Ni 0.5000 0.5000 0.7969

Main lines, by angle (10° ≤ 2θ ≤ 90°):
2θ = 28.92°, I 3; 2θ = 31.84°, I 5; 2θ = 36.10°, I 9; 2θ = 42.38°, I 100; 2θ = 43.38°, I 54; 2θ = 50.08°, I 4; 2θ = 59.92°, I 6; 2θ = 63.02°, I 17; 2θ = 76.82°, I 10; 2θ = 78.91°, I 29